1.
For NaTl16Pb12, a crystal structure in Alexandria, relaxed with GGA-PBE gives the computed X-ray diffraction stick pattern in this record (Cu Kα (weighted mean of Kα1 and Kα2)).

Atomic structure:
Cell lengths 12.2887, 17.2237, 10.6479 Å; angles 90.00, 125.11, 90.00 degrees
Space group Cm (No. 8)
Symmetry-distinct sites (fractional):
Na: 0.0000 0.0000 0.0000 (multiplicity 2)
Tl: 0.1131 0.2035 0.0341 (multiplicity 4)
Tl: 0.2183 0.5000 0.4358 (multiplicity 2)
Tl: 0.2691 0.3596 0.7235 (multiplicity 4)
Tl: 0.2978 0.2976 0.4061 (multiplicity 4)
Tl: 0.3098 0.0000 0.0671 (multiplicity 2)
Tl: 0.3129 0.0000 0.7182 (multiplicity 2)
Tl: 0.3765 0.3429 0.1261 (multiplicity 4)
Tl: 0.4616 0.5000 0.3683 (multiplicity 2)
Tl: 0.4730 0.1544 0.3128 (multiplicity 4)
Tl: 0.4887 0.1765 0.7179 (multiplicity 4)
Pb: 0.0040 0.5000 0.5360 (multiplicity 2)
Pb: 0.0294 0.0927 0.7182 (multiplicity 4)
Pb: 0.0934 0.4038 0.0916 (multiplicity 4)
Pb: 0.1254 0.1879 0.5277 (multiplicity 4)
Pb: 0.1871 0.5000 0.9017 (multiplicity 2)
Pb: 0.2194 0.0953 0.3446 (multiplicity 4)
Pb: 0.3160 0.1866 0.9088 (multiplicity 4)

Top 8 peaks for 2θ from 10° to 90°, low angle first:
2θ/deg  intensity  index
29.12  215  4 0 -2
30.86  757  4 0 -1
30.91  1000  4 2 -2
31.05  576  1 5 1
34.15  257  2 0 2
34.44  398  2 6 -1
52.75  170  5 5 0
54.91  259  1 5 4

2.
For Na2Tl8Pb, a crystal structure in Alexandria, relaxed with GGA-PBE gives the computed X-ray diffraction stick pattern in this record (Cu Kα (weighted mean of Kα1 and Kα2)).

Atomic structure:
Cell lengths 5.3534, 5.3534, 12.0191 Å; angles 90.00, 90.00, 90.00 degrees
Space group P4/mmm (No. 123)
Symmetry-distinct sites (fractional):
Na: 0.0000 0.0000 0.1718 (multiplicity 2)
Tl: 0.0000 0.5000 0.0000 (multiplicity 2)
Tl: 0.0000 0.5000 0.3441 (multiplicity 4)
Tl: 0.5000 0.5000 0.1692 (multiplicity 2)
Pb: 0.0000 0.0000 0.5000 (multiplicity 1)

Top 8 peaks for 2θ from 10° to 90°, low angle first:
2θ/deg  intensity  index
18.14  171  1 0 1
22.22  168  0 0 3
32.54  1000  1 1 3
33.48  473  2 0 0
48.07  175  2 2 0
57.46  193  2 0 6
59.26  370  3 1 3
68.16  116  2 2 6

Question: What is the formula in the first record?
Answer: NaTl16Pb12

Question: What is the formula in the first record?
Answer: NaTl16Pb12